Structure and theoretical PXRD pattern of ZrInSnAu (a crystal structure in Alexandria, relaxed with PBE; Cu Kα X-rays).

Atomic structure:
```
ZrInSnAu
1.0
4.1814 0.0000 0.0000
0.0000 4.3855 0.0000
0.0000 0.0000 4.6406
Zr In Sn Au
1 1 1 1
Direct
0.0000 0.0000 0.0000
0.5000 0.0000 0.5000
0.5000 0.5000 0.0000
0.0000 0.5000 0.5000
```

Largest 8 diffraction maxima, most intense first, 10° ≤ 2θ ≤ 90°:
two_theta	I/Imax
35.4	100
38.8	19
41.2	16
68.1	15
43.3	14
71.3	13
57.9	12
74.3	12

***

Structure and theoretical PXRD pattern of SrIn3Au3 (a crystal structure in Alexandria, relaxed with PBE; Cu Kα X-rays).

Atomic structure:
```
SrIn3Au3
1.0
4.6012 0.0000 0.0000
0.0000 7.9397 0.0000
0.0000 0.0000 9.3212
Sr In Au
2 6 6
Direct
0.2500 0.2500 0.2237
0.7500 0.7500 0.7763
0.2500 0.0512 0.6153
0.2500 0.4488 0.6153
0.2500 0.7500 0.1325
0.7500 0.2500 0.8675
0.7500 0.5512 0.3847
0.7500 0.9488 0.3847
0.2500 0.0196 0.9089
0.2500 0.4804 0.9089
0.2500 0.7500 0.4525
0.7500 0.2500 0.5475
0.7500 0.5196 0.0911
0.7500 0.9804 0.0911
```

Largest 8 diffraction maxima, most intense first, 10° ≤ 2θ ≤ 90°:
two_theta	I/Imax
31.3	100
41.8	67
39.2	46
24.4	29
30.9	27
39.3	27
34.8	23
66.1	21

***

Structure and theoretical PXRD pattern of Sr2In3Au6 (a crystal structure in Alexandria, relaxed with PBE; Cu Kα X-rays).

Atomic structure:
```
Sr2In3Au6
1.0
5.8153 -5.9063 0.0000
5.8153 5.9063 0.0000
0.0000 0.0000 4.1048
Sr In Au
2 3 6
Direct
0.1972 0.8028 0.0000
0.8028 0.1972 0.0000
0.2836 0.2836 0.0000
0.5000 0.5000 0.5000
0.7164 0.7164 0.0000
0.1162 0.1162 0.5000
0.1603 0.4934 0.5000
0.4934 0.1603 0.5000
0.5066 0.8397 0.5000
0.8397 0.5066 0.5000
0.8838 0.8838 0.5000
```

Largest 8 diffraction maxima, most intense first, 10° ≤ 2θ ≤ 90°:
two_theta	I/Imax
32.4	100
39.3	63
30.7	54
21.7	44
44.1	26
55.8	24
37.9	21
46.1	20